# Ce2B3C4
Computed powder diffraction line list, Cu Kα X-rays. Input: a cell relaxed with GGA-PBE.

Structure:
a b c (Å): 5.3579 12.9721 5.6536
angles (deg): 90.00 90.00 90.00
Space group Cmce (No. 64)
Symmetry-distinct sites (fractional):
1 Ce 0.0000 0.1334 0.1098 (multiplicity 8)
2 B 0.0000 0.0000 0.5000 (multiplicity 4)
3 B 0.2500 0.1304 0.7500 (multiplicity 8)
4 C 0.0000 0.1736 0.6256 (multiplicity 8)
5 C 0.2500 0.0124 0.7500 (multiplicity 8)

Top 6 peaks for 5° ≤ 2θ ≤ 70°, by intensity:
hkl 1 1 2, 36.6°, d 2.455, I = 100; hkl 1 1 1, 23.9°, d 3.725, I = 98; hkl 1 3 1, 30.9°, d 2.892, I = 89; hkl 0 2 1, 20.8°, d 4.262, I = 81; hkl 0 4 0, 27.5°, d 3.243, I = 77; hkl 2 2 1, 39.7°, d 2.268, I = 54

# HfTcAs
Computed powder diffraction line list, Cu Kα X-rays. Input: a cell relaxed with GGA-PBE.

Structure:
a b c (Å): 7.3458 11.8253 6.8563
angles (deg): 90.00 90.00 90.00
Space group Ima2 (No. 46)
Symmetry-distinct sites (fractional):
1 Hf 0.2500 0.0016 0.0000 (multiplicity 4)
2 Hf 0.2500 0.2137 0.6274 (multiplicity 4)
3 Hf 0.2500 0.6962 0.1145 (multiplicity 4)
4 Tc 0.0000 0.0000 0.6598 (multiplicity 4)
5 Tc 0.0277 0.6248 0.7889 (multiplicity 8)
6 As 0.0034 0.6673 0.4142 (multiplicity 8)
7 As 0.2500 0.0232 0.4036 (multiplicity 4)

Top 6 peaks for 5° ≤ 2θ ≤ 70°, by intensity:
hkl 2 3 1, 35.9°, d 2.503, I = 100; hkl 2 2 2, 39.1°, d 2.306, I = 81; hkl 0 1 3, 40.2°, d 2.242, I = 33; hkl 4 0 0, 49.6°, d 1.836, I = 21; hkl 2 5 3, 61.8°, d 1.501, I = 17; hkl 0 5 1, 40.3°, d 2.236, I = 16

# Pm3Pr8Ho4
Computed powder diffraction line list, Cu Kα X-rays. Input: a cell relaxed with GGA-PBE.

Structure:
a b c (Å): 13.9469 12.3546 6.9399
angles (deg): 90.00 118.26 90.00
Space group C2/m (No. 12)
Symmetry-distinct sites (fractional):
1 Pm 0.0000 0.0000 0.0000 (multiplicity 2)
2 Pm 0.2500 0.2500 0.5000 (multiplicity 4)
3 Pr 0.0000 0.2061 0.5000 (multiplicity 4)
4 Pr 0.0000 0.2538 0.0000 (multiplicity 4)
5 Pr 0.2044 0.0000 0.6742 (multiplicity 4)
6 Pr 0.2441 0.5000 0.7939 (multiplicity 4)
7 Ho 0.0000 0.5000 0.0000 (multiplicity 2)
8 Ho 0.0000 0.5000 0.5000 (multiplicity 2)
9 Ho 0.2500 0.2500 0.0000 (multiplicity 4)

Top 6 peaks for 5° ≤ 2θ ≤ 70°, by intensity:
hkl 0 4 0, 28.9°, d 3.089, I = 100; hkl 4 0 0, 29.1°, d 3.071, I = 89; hkl 4 4 0, 41.5°, d 2.178, I = 58; hkl 2 2 -2, 29.5°, d 3.024, I = 45; hkl 4 2 -2, 33.3°, d 2.688, I = 40; hkl 0 0 2, 29.2°, d 3.055, I = 38

# CdH2S2O8
Computed powder diffraction line list, Cu Kα X-rays. Input: a cell relaxed with GGA-PBE.

Structure:
a b c (Å): 5.4078 13.3605 8.9661
angles (deg): 90.00 92.91 90.00
Space group P2_1/c (No. 14)
Symmetry-distinct sites (fractional):
1 Cd 0.2181 0.0443 0.2513 (multiplicity 4)
2 H 0.0757 0.2300 0.8198 (multiplicity 4)
3 H 0.4415 0.7301 0.4507 (multiplicity 4)
4 S 0.2611 0.6441 0.0533 (multiplicity 4)
5 S 0.2912 0.0954 0.8764 (multiplicity 4)
6 O 0.0258 0.6643 0.1277 (multiplicity 4)
7 O 0.1493 0.0017 0.8646 (multiplicity 4)
8 O 0.1592 0.1722 0.7680 (multiplicity 4)
9 O 0.2422 0.5502 0.9716 (multiplicity 4)
10 O 0.2806 0.7330 0.9396 (multiplicity 4)
11 O 0.2970 0.1392 0.0292 (multiplicity 4)
12 O 0.4578 0.5840 0.6755 (multiplicity 4)
13 O 0.4781 0.6506 0.1577 (multiplicity 4)

Top 6 peaks for 5° ≤ 2θ ≤ 70°, by intensity:
hkl 0 2 0, 13.3°, d 6.680, I = 100; hkl 1 2 1, 23.8°, d 3.746, I = 66; hkl 0 0 2, 19.9°, d 4.468, I = 61; hkl 0 2 2, 23.9°, d 3.719, I = 60; hkl 1 3 0, 25.9°, d 3.436, I = 53; hkl 1 1 1, 20.7°, d 4.285, I = 50

# Be2Mo2Ru5W
Computed powder diffraction line list, Cu Kα X-rays. Input: a cell relaxed with GGA-PBE.

Structure:
a b c (Å): 9.4168 9.4168 3.0272
angles (deg): 90.00 90.00 90.00
Space group P4/mbm (No. 127)
Symmetry-distinct sites (fractional):
1 Be 0.1210 0.3790 0.0000 (multiplicity 4)
2 Mo 0.1753 0.6753 0.0000 (multiplicity 4)
3 Ru 0.0000 0.5000 0.5000 (multiplicity 2)
4 Ru 0.0719 0.2094 0.5000 (multiplicity 8)
5 W 0.0000 0.0000 0.0000 (multiplicity 2)

Top 6 peaks for 5° ≤ 2θ ≤ 70°, by intensity:
hkl 3 1 1, 42.6°, d 2.123, I = 100; hkl 4 1 0, 39.5°, d 2.284, I = 49; hkl 2 1 1, 36.6°, d 2.458, I = 38; hkl 4 2 0, 43.0°, d 2.106, I = 37; hkl 2 2 1, 40.3°, d 2.240, I = 33; hkl 1 1 0, 13.3°, d 6.659, I = 26

# ZnPb2Cl
Computed powder diffraction line list, Cu Kα X-rays. Input: a cell relaxed with GGA-PBE.

Structure:
a b c (Å): 13.5491 3.4618 4.9519
angles (deg): 90.00 111.15 90.00
Space group Cm (No. 8)
Symmetry-distinct sites (fractional):
1 Zn 0.0000 0.0000 0.0000 (multiplicity 2)
2 Pb 0.0514 0.5000 0.5514 (multiplicity 2)
3 Pb 0.2867 0.0000 0.7878 (multiplicity 2)
4 Cl 0.2696 0.5000 0.2707 (multiplicity 2)

Top 6 peaks for 5° ≤ 2θ ≤ 70°, by intensity:
hkl 1 1 1, 34.7°, d 2.588, I = 100; hkl 2 0 -1, 19.3°, d 4.610, I = 46; hkl 4 0 0, 28.2°, d 3.159, I = 37; hkl 2 0 -2, 36.3°, d 2.476, I = 23; hkl 3 1 0, 33.5°, d 2.674, I = 20; hkl 1 1 0, 26.7°, d 3.339, I = 14